Structure and computed powder diffraction line list of NaAgN (a crystal structure in Alexandria, relaxed with PBE; Cu Kα (λ = 1.5418 Å)).
Lines closer than 0.1° are merged.

Top 10 peaks for 15° ≤ 2θ ≤ 90°, sorted by position:
2θ = 24.78°, I = 50; 2θ = 31.34°, I = 34; 2θ = 32.60°, I = 97; 2θ = 36.32°, I = 26; 2θ = 37.94°, I = 33; 2θ = 38.38°, I = 100; 2θ = 44.04°, I = 41; 2θ = 47.19°, I = 38; 2θ = 66.52°, I = 25; 2θ = 69.74°, I = 22

Structure:
a b c (Å): 3.0955 4.1131 7.3801
angles (deg): 90.00 90.00 90.00
Fractional positions:
Na  0.2500  0.2500  0.1267
Na  0.7500  0.7500  0.8733
Ag  0.2500  0.7500  0.4009
Ag  0.7500  0.2500  0.5991
N  0.2500  0.2500  0.7926
N  0.7500  0.7500  0.2074



Structure and computed powder diffraction line list of Nd4AgN2 (a crystal structure in Alexandria, relaxed with PBE; Cu Kα (λ = 1.5418 Å)).
Lines closer than 0.1° are merged.

Top 10 peaks for 15° ≤ 2θ ≤ 90°, sorted by position:
2θ = 28.33°, I = 24; 2θ = 30.16°, I = 27; 2θ = 31.42°, I = 21; 2θ = 31.90°, I = 100; 2θ = 32.94°, I = 56; 2θ = 39.58°, I = 25; 2θ = 50.00°, I = 41; 2θ = 51.67°, I = 19; 2θ = 60.26°, I = 20; 2θ = 60.55°, I = 15

Structure:
a b c (Å): 14.3913 14.3913 14.3913
angles (deg): 14.56 14.56 14.56
Fractional positions:
Nd  0.1234  0.1234  0.1234
Nd  0.2754  0.2754  0.2754
Nd  0.7246  0.7246  0.7246
Nd  0.8766  0.8766  0.8766
Ag  0.0000  0.0000  0.0000
N  0.4255  0.4255  0.4255
N  0.5745  0.5745  0.5745



Structure and computed powder diffraction line list of Nd4AgN (a crystal structure in Alexandria, relaxed with PBE; Cu Kα (λ = 1.5418 Å)).
Lines closer than 0.1° are merged.

Top 10 peaks for 15° ≤ 2θ ≤ 90°, sorted by position:
2θ = 18.92°, I = 18; 2θ = 26.23°, I = 36; 2θ = 29.77°, I = 100; 2θ = 29.98°, I = 31; 2θ = 30.35°, I = 29; 2θ = 36.46°, I = 31; 2θ = 38.44°, I = 43; 2θ = 46.74°, I = 21; 2θ = 48.12°, I = 30; 2θ = 67.56°, I = 17

Structure:
a b c (Å): 6.8034 6.8034 3.7839
angles (deg): 90.00 90.00 92.84
Fractional positions:
Nd  0.1794  0.1794  0.5000
Nd  0.2504  0.7496  0.0000
Nd  0.7496  0.2504  0.0000
Nd  0.8206  0.8206  0.5000
Ag  0.5000  0.5000  0.5000
N  0.0000  0.0000  0.0000



Structure and computed powder diffraction line list of Ni3AgN (a crystal structure in Alexandria, relaxed with PBE; Cu Kα (λ = 1.5418 Å)).
Lines closer than 0.1° are merged.

Top 10 peaks for 15° ≤ 2θ ≤ 90°, sorted by position:
2θ = 40.71°, I = 100; 2θ = 45.86°, I = 20; 2θ = 47.33°, I = 19; 2θ = 48.84°, I = 17; 2θ = 68.03°, I = 11; 2θ = 69.24°, I = 11; 2θ = 81.33°, I = 12; 2θ = 83.48°, I = 11; 2θ = 85.74°, I = 11; 2θ = 88.15°, I = 11

Structure:
a b c (Å): 3.8412 3.7292 7.9143
angles (deg): 90.00 90.00 90.00
Fractional positions:
Ni  0.2500  0.0000  0.1217
Ni  0.2500  0.0000  0.6257
Ni  0.2500  0.5000  0.8775
Ni  0.7500  0.0000  0.3743
Ni  0.7500  0.0000  0.8783
Ni  0.7500  0.5000  0.1225
Ag  0.2500  0.5000  0.3722
Ag  0.7500  0.5000  0.6278
N  0.2500  0.0000  0.8582
N  0.7500  0.0000  0.1418



Structure and computed powder diffraction line list of Ag7NO8 (a crystal structure in Alexandria, relaxed with PBE; Cu Kα (λ = 1.5418 Å)).
Lines closer than 0.1° are merged.

Top 10 peaks for 15° ≤ 2θ ≤ 90°, sorted by position:
2θ = 17.75°, I = 100; 2θ = 31.00°, I = 66; 2θ = 35.95°, I = 49; 2θ = 39.30°, I = 54; 2θ = 40.37°, I = 38; 2θ = 47.26°, I = 23; 2θ = 51.75°, I = 55; 2θ = 55.15°, I = 17; 2θ = 72.68°, I = 18; 2θ = 78.32°, I = 20

Structure:
a b c (Å): 7.0660 7.0660 7.0660
angles (deg): 60.00 60.00 60.00
Fractional positions:
Ag  0.0000  0.0000  0.0000
Ag  0.2810  0.2810  0.7190
Ag  0.2810  0.7190  0.2810
Ag  0.2810  0.7190  0.7190
Ag  0.7190  0.2810  0.2810
Ag  0.7190  0.2810  0.7190
Ag  0.7190  0.7190  0.2810
N  0.5000  0.5000  0.5000
O  0.1325  0.1325  0.1325
O  0.1325  0.1325  0.6025
O  0.1325  0.6025  0.1325
O  0.3975  0.8675  0.8675
O  0.6025  0.1325  0.1325
O  0.8675  0.3975  0.8675
O  0.8675  0.8675  0.3975
O  0.8675  0.8675  0.8675



Structure and computed powder diffraction line list of Ag2SN2O2 (a crystal structure in Alexandria, relaxed with PBE; Cu Kα (λ = 1.5418 Å)).
Lines closer than 0.1° are merged.

Top 10 peaks for 15° ≤ 2θ ≤ 90°, sorted by position:
2θ = 20.47°, I = 100; 2θ = 21.85°, I = 48; 2θ = 25.43°, I = 31; 2θ = 27.98°, I = 37; 2θ = 29.74°, I = 30; 2θ = 30.41°, I = 25; 2θ = 31.45°, I = 46; 2θ = 35.09°, I = 29; 2θ = 37.48°, I = 48; 2θ = 38.68°, I = 23

Structure:
a b c (Å): 7.0512 5.5257 12.0964
angles (deg): 90.00 96.55 90.00
Fractional positions:
Ag  0.1129  0.0033  0.3291
Ag  0.1129  0.4967  0.8291
Ag  0.2708  0.7086  0.0949
Ag  0.2708  0.7914  0.5949
Ag  0.7292  0.2086  0.4051
Ag  0.7292  0.2914  0.9051
Ag  0.8871  0.5033  0.1709
Ag  0.8871  0.9967  0.6709
S  0.2787  0.5518  0.3543
S  0.2787  0.9482  0.8543
S  0.7213  0.0518  0.1457
S  0.7213  0.4482  0.6457
N  0.1417  0.6656  0.2484
N  0.1417  0.8344  0.7484
N  0.3154  0.7095  0.9254
N  0.3154  0.7905  0.4254
N  0.6846  0.2095  0.5746
N  0.6846  0.2905  0.0746
N  0.8583  0.1656  0.2516
N  0.8583  0.3344  0.7516
O  0.1728  0.1379  0.9124
O  0.1728  0.3621  0.4124
O  0.4513  0.0491  0.8152
O  0.4513  0.4509  0.3152
O  0.5487  0.5491  0.6848
O  0.5487  0.9509  0.1848
O  0.8272  0.6379  0.5876
O  0.8272  0.8621  0.0876



Structure and computed powder diffraction line list of Ag3SeNO3 (a crystal structure in Alexandria, relaxed with PBE; Cu Kα (λ = 1.5418 Å)).
Lines closer than 0.1° are merged.

Top 10 peaks for 15° ≤ 2θ ≤ 90°, sorted by position:
2θ = 28.22°, I = 100; 2θ = 30.64°, I = 53; 2θ = 32.41°, I = 44; 2θ = 32.61°, I = 68; 2θ = 35.20°, I = 43; 2θ = 36.09°, I = 30; 2θ = 38.71°, I = 38; 2θ = 44.40°, I = 21; 2θ = 56.48°, I = 18; 2θ = 61.53°, I = 37

Structure:
a b c (Å): 6.3637 6.3637 6.3637
angles (deg): 85.28 85.28 85.28
Fractional positions:
Ag  0.0672  0.1929  0.7399
Ag  0.1929  0.7399  0.0672
Ag  0.2399  0.6929  0.5672
Ag  0.5672  0.2399  0.6929
Ag  0.6929  0.5672  0.2399
Ag  0.7399  0.0672  0.1929
Se  0.2151  0.2151  0.2151
Se  0.7151  0.7151  0.7151
N  0.0664  0.0664  0.0664
N  0.5664  0.5664  0.5664
O  0.0620  0.3311  0.4128
O  0.3311  0.4128  0.0620
O  0.4128  0.0620  0.3311
O  0.5620  0.9128  0.8311
O  0.8311  0.5620  0.9128
O  0.9128  0.8311  0.5620



Structure and computed powder diffraction line list of AgP4N7 (a crystal structure in Alexandria, relaxed with PBE; Cu Kα (λ = 1.5418 Å)).
Lines closer than 0.1° are merged.

Top 10 peaks for 15° ≤ 2θ ≤ 90°, sorted by position:
2θ = 20.37°, I = 30; 2θ = 26.21°, I = 27; 2θ = 27.23°, I = 45; 2θ = 28.39°, I = 42; 2θ = 29.14°, I = 56; 2θ = 30.09°, I = 100; 2θ = 34.54°, I = 33; 2θ = 36.96°, I = 18; 2θ = 41.81°, I = 22; 2θ = 43.90°, I = 27

Structure:
a b c (Å): 12.1862 4.9646 4.6676
angles (deg): 90.00 90.00 90.00
Fractional positions:
Ag  0.0000  0.1548  0.0000
Ag  0.5000  0.8452  0.5000
P  0.1185  0.6700  0.4079
P  0.2484  0.8231  0.8808
P  0.2516  0.1769  0.3808
P  0.3815  0.3300  0.9079
P  0.6185  0.3300  0.9079
P  0.7484  0.1769  0.3808
P  0.7516  0.8231  0.8808
P  0.8815  0.6700  0.4079
N  0.0000  0.7535  0.2928
N  0.1338  0.7491  0.7396
N  0.1456  0.3604  0.3281
N  0.2162  0.8717  0.2370
N  0.2838  0.1283  0.7370
N  0.3544  0.6396  0.8281
N  0.3662  0.2509  0.2396
N  0.5000  0.2465  0.7929
N  0.6338  0.2509  0.2396
N  0.6456  0.6396  0.8281
N  0.7162  0.1283  0.7370
N  0.7838  0.8717  0.2370
N  0.8544  0.3604  0.3281
N  0.8662  0.7491  0.7396



Structure and computed powder diffraction line list of Ag2PN (a crystal structure in Alexandria, relaxed with PBE; Cu Kα (λ = 1.5418 Å)).
Lines closer than 0.1° are merged.

Top 8 peaks for 15° ≤ 2θ ≤ 90°, sorted by position:
2θ = 25.17°, I = 1; 2θ = 29.14°, I = 61; 2θ = 41.68°, I = 100; 2θ = 49.31°, I = 1; 2θ = 51.66°, I = 16; 2θ = 60.41°, I = 15; 2θ = 68.45°, I = 20; 2θ = 76.07°, I = 31

Structure:
a b c (Å): 4.3342 4.3342 4.3342
angles (deg): 60.00 60.00 60.00
Fractional positions:
Ag  0.2500  0.2500  0.2500
Ag  0.7500  0.7500  0.7500
P  0.0000  0.0000  0.0000
N  0.5000  0.5000  0.5000



Structure and computed powder diffraction line list of Pa2AgP2N6 (a crystal structure in Alexandria, relaxed with PBE; Cu Kα (λ = 1.5418 Å)).
Lines closer than 0.1° are merged.

Top 10 peaks for 15° ≤ 2θ ≤ 90°, sorted by position:
2θ = 18.65°, I = 100; 2θ = 25.79°, I = 34; 2θ = 28.09°, I = 28; 2θ = 29.03°, I = 44; 2θ = 30.87°, I = 36; 2θ = 31.58°, I = 32; 2θ = 33.12°, I = 34; 2θ = 33.53°, I = 20; 2θ = 35.89°, I = 19; 2θ = 36.13°, I = 26

Structure:
a b c (Å): 5.6083 6.0957 6.4751
angles (deg): 91.64 114.28 116.32
Fractional positions:
Pa  0.1540  0.1800  0.3107
Pa  0.8460  0.8200  0.6893
Ag  0.5000  0.5000  0.0000
P  0.3945  0.7755  0.2022
P  0.6055  0.2245  0.7978
N  0.1617  0.8816  0.0833
N  0.2511  0.0001  0.6357
N  0.3261  0.5940  0.3776
N  0.6739  0.4060  0.6224
N  0.7489  0.9999  0.3643
N  0.8383  0.1184  0.9167



Structure and computed powder diffraction line list of Pa3AgP4N12 (a crystal structure in Alexandria, relaxed with PBE; Cu Kα (λ = 1.5418 Å)).
Lines closer than 0.1° are merged.

Top 10 peaks for 15° ≤ 2θ ≤ 90°, sorted by position:
2θ = 16.25°, I = 27; 2θ = 21.30°, I = 80; 2θ = 26.91°, I = 22; 2θ = 27.57°, I = 100; 2θ = 32.83°, I = 35; 2θ = 35.72°, I = 24; 2θ = 39.95°, I = 23; 2θ = 45.17°, I = 46; 2θ = 54.19°, I = 24; 2θ = 55.09°, I = 14

Structure:
a b c (Å): 6.9603 6.9603 6.9603
angles (deg): 103.23 103.23 103.23
Fractional positions:
Pa  0.0000  0.5431  0.4569
Pa  0.4569  0.0000  0.5431
Pa  0.5431  0.4569  0.0000
Ag  0.0000  0.0000  0.0000
P  0.0451  0.5000  0.9549
P  0.5000  0.5000  0.5000
P  0.5000  0.9549  0.0451
P  0.9549  0.0451  0.5000
N  0.0154  0.6145  0.7844
N  0.1013  0.8987  0.5000
N  0.2156  0.3855  0.9846
N  0.3554  0.6446  0.5000
N  0.3855  0.9846  0.2156
N  0.5000  0.1013  0.8987
N  0.5000  0.3554  0.6446
N  0.6145  0.7844  0.0154
N  0.6446  0.5000  0.3554
N  0.7844  0.0154  0.6145
N  0.8987  0.5000  0.1013
N  0.9846  0.2156  0.3855



Structure and computed powder diffraction line list of Pr2AgP2N6 (a crystal structure in Alexandria, relaxed with PBE; Cu Kα (λ = 1.5418 Å)).
Lines closer than 0.1° are merged.

Top 10 peaks for 15° ≤ 2θ ≤ 90°, sorted by position:
2θ = 19.89°, I = 35; 2θ = 27.07°, I = 68; 2θ = 28.60°, I = 41; 2θ = 28.77°, I = 100; 2θ = 29.77°, I = 50; 2θ = 30.60°, I = 61; 2θ = 32.24°, I = 60; 2θ = 33.65°, I = 26; 2θ = 34.26°, I = 99; 2θ = 49.57°, I = 28

Structure:
a b c (Å): 5.2502 5.9916 6.2697
angles (deg): 63.50 89.94 68.07
Fractional positions:
Pr  0.2118  0.1105  0.2027
Pr  0.7882  0.8895  0.7973
Ag  0.0000  0.5000  0.5000
P  0.4947  0.5302  0.7513
P  0.5053  0.4698  0.2487
N  0.1739  0.5760  0.1670
N  0.3005  0.8425  0.6545
N  0.3945  0.3022  0.7750
N  0.6055  0.6978  0.2250
N  0.6995  0.1575  0.3455
N  0.8261  0.4240  0.8330